The following is a computed XRD peak list of Nb4AlGe2. It was derived from a DFT-relaxed cell (PBE, Alexandria), using a wavelength of 1.5418 Å.

Most intense lines, 5 to 70 degrees two-theta, by angle:
10.01 deg, 8.838 Å, intensity 25
36.14 deg, 2.485 Å, intensity 80
37.05 deg, 2.426 Å, intensity 40
37.75 deg, 2.383 Å, intensity 60
38.23 deg, 2.354 Å, intensity 65
39.20 deg, 2.298 Å, intensity 35
41.14 deg, 2.194 Å, intensity 100
42.25 deg, 2.139 Å, intensity 69
43.85 deg, 2.065 Å, intensity 22
51.54 deg, 1.773 Å, intensity 22

Crystal structure
Unit cell a=5.017 b=5.563 c=8.936 alpha=90.00 beta=98.52 gamma=90.00
Sites, in units of the cell vectors:
1 Nb 0.041 0.250 0.197
2 Nb 0.132 0.750 0.431
3 Nb 0.419 0.003 0.732
4 Nb 0.419 0.497 0.732
5 Nb 0.581 0.503 0.268
6 Nb 0.581 0.997 0.268
7 Nb 0.868 0.250 0.569
8 Nb 0.959 0.750 0.803
9 Al 0.040 0.750 0.125
10 Al 0.960 0.250 0.875
11 Ge 0.331 0.250 0.468
12 Ge 0.490 0.250 0.006
13 Ge 0.510 0.750 0.994
14 Ge 0.669 0.750 0.532

The following is a computed XRD peak list of Fe3Re. It was derived from a DFT-relaxed cell (PBE, Alexandria), using a wavelength of 1.5418 Å.

Most intense lines, 5 to 70 degrees two-theta, by angle:
24.98 deg, 3.564 Å, intensity 13
25.36 deg, 3.513 Å, intensity 23
31.03 deg, 2.882 Å, intensity 17
35.01 deg, 2.563 Å, intensity 11
40.24 deg, 2.241 Å, intensity 6
43.49 deg, 2.081 Å, intensity 100
50.35 deg, 1.812 Å, intensity 32
51.27 deg, 1.782 Å, intensity 15
57.01 deg, 1.615 Å, intensity 6
60.33 deg, 1.534 Å, intensity 6

Crystal structure
Unit cell a=7.575 b=7.575 c=7.575 alpha=152.32 beta=152.32 gamma=39.55
Sites, in units of the cell vectors:
1 Fe 0.000 0.500 0.500
2 Fe 0.125 0.125 0.000
3 Fe 0.250 0.750 0.500
4 Fe 0.500 0.000 0.500
5 Fe 0.750 0.250 0.500
6 Fe 0.875 0.875 0.000
7 Re 0.372 0.372 0.000
8 Re 0.628 0.628 0.000

The following is a computed XRD peak list of LaTb2Sm2Ho. It was derived from a DFT-relaxed cell (PBE, Alexandria), using a wavelength of 1.5418 Å.

Most intense lines, 5 to 70 degrees two-theta, by angle:
27.79 deg, 3.210 Å, intensity 44
30.10 deg, 2.969 Å, intensity 100
32.73 deg, 2.736 Å, intensity 38
33.72 deg, 2.658 Å, intensity 47
36.60 deg, 2.455 Å, intensity 59
45.82 deg, 1.980 Å, intensity 15
53.76 deg, 1.705 Å, intensity 31
61.68 deg, 1.504 Å, intensity 26
62.55 deg, 1.485 Å, intensity 23
63.20 deg, 1.471 Å, intensity 28

Crystal structure
Unit cell a=6.976 b=16.418 c=3.535 alpha=90.00 beta=90.00 gamma=90.00
Sites, in units of the cell vectors:
1 La 0.000 0.000 0.000
2 La 0.500 0.500 0.500
3 Tb 0.250 0.156 0.500
4 Tb 0.250 0.656 0.000
5 Tb 0.750 0.344 0.000
6 Tb 0.750 0.844 0.500
7 Sm 0.248 0.341 0.000
8 Sm 0.252 0.841 0.500
9 Sm 0.748 0.159 0.500
10 Sm 0.752 0.659 0.000
11 Ho 0.000 0.500 0.500
12 Ho 0.500 0.000 0.000

The following is a computed XRD peak list of Ir4RuRh. It was derived from a DFT-relaxed cell (PBE, Alexandria), using a wavelength of 1.5418 Å.

Most intense lines, 5 to 70 degrees two-theta, by angle:
21.70 deg, 4.096 Å, intensity 4
25.52 deg, 3.490 Å, intensity 5
34.67 deg, 2.587 Å, intensity 2
40.50 deg, 2.228 Å, intensity 100
46.42 deg, 1.956 Å, intensity 2
47.11 deg, 1.929 Å, intensity 49
59.81 deg, 1.546 Å, intensity 1
61.51 deg, 1.507 Å, intensity 1
68.82 deg, 1.364 Å, intensity 26
68.87 deg, 1.363 Å, intensity 5

Crystal structure
Unit cell a=2.727 b=3.857 c=8.191 alpha=90.00 beta=90.00 gamma=90.00
Sites, in units of the cell vectors:
1 Ir 0.000 0.000 0.165
2 Ir 0.000 0.000 0.835
3 Ir 0.500 0.500 0.331
4 Ir 0.500 0.500 0.669
5 Ru 0.500 0.500 0.000
6 Rh 0.000 0.000 0.500

The following is a computed XRD peak list of K2AsF6. It was derived from a DFT-relaxed cell (PBE, Alexandria), using a wavelength of 1.5418 Å.

Most intense lines, 5 to 70 degrees two-theta, by angle:
18.12 deg, 4.896 Å, intensity 100
20.95 deg, 4.240 Å, intensity 8
29.80 deg, 2.998 Å, intensity 72
35.10 deg, 2.557 Å, intensity 32
36.71 deg, 2.448 Å, intensity 24
42.65 deg, 2.120 Å, intensity 61
52.90 deg, 1.731 Å, intensity 25
56.38 deg, 1.632 Å, intensity 19
61.90 deg, 1.499 Å, intensity 32
65.08 deg, 1.433 Å, intensity 16

Crystal structure
Unit cell a=5.996 b=5.996 c=5.996 alpha=60.00 beta=60.00 gamma=60.00
Sites, in units of the cell vectors:
1 K 0.250 0.250 0.250
2 K 0.750 0.750 0.750
3 As 0.000 0.000 0.000
4 F 0.227 0.227 0.773
5 F 0.227 0.773 0.227
6 F 0.227 0.773 0.773
7 F 0.773 0.227 0.227
8 F 0.773 0.227 0.773
9 F 0.773 0.773 0.227

The following is a computed XRD peak list of Sr6Ir3O14. It was derived from a DFT-relaxed cell (PBE, Alexandria), using a wavelength of 1.5418 Å.

Most intense lines, 5 to 70 degrees two-theta, by angle:
19.82 deg, 4.479 Å, intensity 39
20.02 deg, 4.435 Å, intensity 47
25.78 deg, 3.455 Å, intensity 35
28.32 deg, 3.151 Å, intensity 100
34.93 deg, 2.569 Å, intensity 32
35.05 deg, 2.560 Å, intensity 20
38.45 deg, 2.341 Å, intensity 18
40.27 deg, 2.239 Å, intensity 17
40.69 deg, 2.217 Å, intensity 24
54.72 deg, 1.677 Å, intensity 29

Crystal structure
Unit cell a=8.869 b=8.869 c=5.513 alpha=90.00 beta=90.00 gamma=120.00
Sites, in units of the cell vectors:
1 Sr 0.013 0.448 0.000
2 Sr 0.292 0.220 0.479
3 Sr 0.435 0.987 0.000
4 Sr 0.552 0.565 0.000
5 Sr 0.780 0.072 0.479
6 Sr 0.928 0.708 0.479
7 Ir 0.000 0.000 0.025
8 Ir 0.333 0.667 0.563
9 Ir 0.667 0.333 0.645
10 O 0.000 0.000 0.694
11 O 0.055 0.206 0.201
12 O 0.151 0.945 0.201
13 O 0.195 0.740 0.735
14 O 0.260 0.456 0.735
15 O 0.333 0.667 0.232
16 O 0.458 0.260 0.854
17 O 0.527 0.124 0.442
18 O 0.544 0.805 0.735
19 O 0.597 0.473 0.442
20 O 0.740 0.198 0.854
21 O 0.794 0.849 0.201
22 O 0.802 0.542 0.854
23 O 0.876 0.403 0.442

Q: Number 6 is which compound?
A: Sr6Ir3O14